Record 1
CuSnPt: simulated PXRD pattern (a wavelength of 1.5418 Å), based on DFT lattice parameters and positions (GGA-PBE).
Intensities are scaled so that the largest is 1000.

Cell and atoms:
```
CuSnPt
1.0
4.3954 0.0000 0.0000
-2.1977 3.8065 0.0000
0.0000 0.0000 3.0561
Cu Sn Pt
1 1 1
Cartesian
0.0000 0.0000 0.0000
2.1977 1.2688 2.0552
0.0000 2.5377 1.0529
```

Largest 8 diffraction maxima, most intense first, 2θ from 5° to 70°:
d_spacing, I (rel.)
2.383, 1000
2.198, 737
1.616, 305
3.807, 240
1.418, 199
1.784, 65
3.056, 47
1.903, 38

Record 2
ErMgScSn: simulated PXRD pattern (a wavelength of 1.5418 Å), based on DFT lattice parameters and positions (GGA-PBE).
Intensities are scaled so that the largest is 1000.

Cell and atoms:
```
ErMgScSn
1.0
0.0000 3.6281 3.6281
3.6281 0.0000 3.6281
3.6281 3.6281 0.0000
Er Mg Sc Sn
1 1 1 1
Cartesian
0.0000 0.0000 0.0000
1.8140 1.8140 1.8140
3.6281 3.6281 3.6281
5.4421 5.4421 5.4421
```

Largest 8 diffraction maxima, most intense first, 2θ from 5° to 70°:
d_spacing, I (rel.)
2.565, 1000
4.189, 421
1.481, 366
2.188, 239
1.814, 178
1.665, 106
1.396, 81
3.628, 40

Record 3
CeHoTiN3: simulated PXRD pattern (a wavelength of 1.5418 Å), based on DFT lattice parameters and positions (GGA-PBE).
Intensities are scaled so that the largest is 1000.

Cell and atoms:
```
CeHoTiN3
1.0
7.1979 0.0000 0.0000
0.0000 3.3863 0.0000
-0.4352 0.0000 7.9121
Ce Ho Ti N
2 2 2 6
Cartesian
1.0126 0.8466 1.3710
5.7501 2.5397 6.5411
2.3329 2.5397 6.7441
4.4299 0.8466 1.1680
0.6198 0.8466 4.6146
6.1429 2.5397 3.2974
0.6313 0.8466 6.6016
0.9512 2.5397 3.6211
2.7143 2.5397 1.0384
4.0484 0.8466 6.8736
5.8115 0.8466 4.2909
6.1314 2.5397 1.3104
```

Largest 8 diffraction maxima, most intense first, 2θ from 5° to 70°:
d_spacing, I (rel.)
2.464, 1000
7.912, 963
2.573, 764
3.113, 610
2.637, 503
2.736, 461
3.206, 386
3.342, 312

Record 4
Pr5Er4Th2: simulated PXRD pattern (a wavelength of 1.5418 Å), based on DFT lattice parameters and positions (GGA-PBE).
Intensities are scaled so that the largest is 1000.

Cell and atoms:
```
Pr5Er4Th2
1.0
8.9209 0.0000 0.0000
0.0000 3.5375 0.0000
-0.9120 0.0000 11.8321
Pr Er Th
5 4 2
Cartesian
0.0000 0.0000 0.0000
0.3960 0.0000 3.4754
2.0085 0.0000 9.9038
6.0004 0.0000 1.9283
7.6129 0.0000 8.3567
1.2975 1.7688 6.4885
2.9126 1.7688 1.2904
5.0962 1.7688 10.5417
6.7114 1.7688 5.3436
3.7424 0.0000 4.3443
4.2665 0.0000 7.4878
```

Largest 8 diffraction maxima, most intense first, 2θ from 5° to 70°:
d_spacing, I (rel.)
2.843, 1000
2.929, 691
2.874, 681
2.909, 404
2.768, 355
2.668, 295
3.144, 242
2.633, 230

Record 5
DyGaCl: simulated PXRD pattern (a wavelength of 1.5418 Å), based on DFT lattice parameters and positions (GGA-PBE).
Intensities are scaled so that the largest is 1000.

Cell and atoms:
```
DyGaCl
1.0
2.0425 1.1792 10.7404
-2.0425 1.1792 10.7404
0.0000 -2.3585 10.7404
Dy Ga Cl
2 2 2
Cartesian
0.0000 0.0000 2.0703
0.0000 0.0000 30.1508
0.0000 0.0000 11.0996
0.0000 0.0000 21.1215
0.0000 0.0000 7.1101
0.0000 0.0000 25.1110
```

Largest 8 diffraction maxima, most intense first, 2θ from 5° to 70°:
d_spacing, I (rel.)
10.740, 1000
2.805, 727
2.043, 336
3.517, 267
2.658, 236
2.382, 189
1.651, 144
1.929, 143

Record 6
SmDy3Tm2Sb6: simulated PXRD pattern (a wavelength of 1.5418 Å), based on DFT lattice parameters and positions (GGA-PBE).
Intensities are scaled so that the largest is 1000.

Cell and atoms:
```
SmDy3Tm2Sb6
1.0
9.5515 -2.1917 0.0000
9.5515 2.1917 0.0000
-2.0058 0.0000 8.5338
Sm Dy Tm Sb
1 3 2 6
Cartesian
0.0000 0.0000 0.0000
-1.0029 0.0000 4.2669
6.0522 0.0000 1.4320
11.0451 0.0000 7.1018
5.0176 0.0000 5.6883
12.0797 0.0000 2.8454
2.0312 0.0000 4.9576
3.0458 0.0000 0.7357
8.0288 0.0000 6.3604
9.0684 0.0000 2.1733
14.0514 0.0000 7.7981
15.0660 0.0000 3.5761
```

Largest 8 diffraction maxima, most intense first, 2θ from 5° to 70°:
d_spacing, I (rel.)
3.099, 1000
2.192, 761
1.386, 348
1.789, 271
1.550, 127
3.579, 37
1.869, 20
1.422, 9

Record 7
CePaPd: simulated PXRD pattern (a wavelength of 1.5418 Å), based on DFT lattice parameters and positions (GGA-PBE).
Intensities are scaled so that the largest is 1000.

Cell and atoms:
```
CePaPd
1.0
5.3248 -2.3094 0.0000
5.3248 2.3094 0.0000
-1.3203 0.0000 5.5187
Ce Pa Pd
2 2 2
Cartesian
0.1476 0.0000 1.3258
9.1817 0.0000 4.1929
3.7502 0.0000 1.1508
5.5791 0.0000 4.3678
1.9536 0.0000 3.7341
7.3757 0.0000 1.7845
```

Largest 8 diffraction maxima, most intense first, 2θ from 5° to 70°:
d_spacing, I (rel.)
2.762, 1000
2.680, 867
2.308, 840
1.770, 446
1.405, 223
1.683, 196
3.402, 176
2.165, 169

Record 8
Ga2TeSe2: simulated PXRD pattern (a wavelength of 1.5418 Å), based on DFT lattice parameters and positions (GGA-PBE).
Intensities are scaled so that the largest is 1000.

Cell and atoms:
```
Ga2TeSe2
1.0
-3.7101 3.7101 5.4909
3.7101 -3.7101 5.4909
3.7101 3.7101 -5.4909
Ga Te Se
4 2 4
Cartesian
0.0000 1.6727 0.0000
-1.6727 3.7101 2.7455
1.6727 3.7101 2.7455
0.0000 5.7475 0.0000
3.7101 0.0000 3.8839
0.0000 0.0000 6.6293
0.0000 1.8670 2.4506
0.0000 5.5532 2.4506
-1.8670 3.7101 5.1960
1.8670 3.7101 5.1960
```

Largest 8 diffraction maxima, most intense first, 2θ from 5° to 70°:
d_spacing, I (rel.)
3.177, 1000
1.897, 565
3.283, 438
6.148, 434
3.793, 418
2.023, 410
1.855, 278
2.106, 252